# 1
Diffraction record for CePm3Sn2. The PXRD pattern is simulated, not measured: it uses a cell relaxed with GGA-PBE and copper Kα.

Principal peaks in the range 2θ from 15° to 90°, by angle:
- 22.60°, d = 3.935 Å, I 22
- 25.57°, d = 3.484 Å, I 92
- 27.35°, d = 3.261 Å, I 17
- 33.02°, d = 2.713 Å, I 100
- 34.54°, d = 2.597 Å, I 28
- 35.06°, d = 2.559 Å, I 21
- 39.67°, d = 2.272 Å, I 56
- 42.90°, d = 2.108 Å, I 23
- 52.54°, d = 1.742 Å, I 25
- 63.89°, d = 1.457 Å, I 16

Atomic structure:
```
CePm3Sn2
1.0
3.9352 2.2720 7.4904
-3.9352 2.2720 7.4904
0.0000 -4.5440 7.4904
Ce Pm Sn
2 6 4
Direct
0.0000 0.0000 0.0000
0.5000 0.5000 0.5000
0.0229 0.7500 0.4771
0.2500 0.5229 0.9771
0.4771 0.0229 0.7500
0.5229 0.9771 0.2500
0.7500 0.4771 0.0229
0.9771 0.2500 0.5229
0.1441 0.1441 0.1441
0.3559 0.3559 0.3559
0.6441 0.6441 0.6441
0.8559 0.8559 0.8559
```

***

# 2
Diffraction record for Hf5Zn4Au. The PXRD pattern is simulated, not measured: it uses a cell relaxed with GGA-PBE and copper Kα.

Principal peaks in the range 2θ from 15° to 90°, by angle:
- 26.56°, d = 3.357 Å, I 5
- 26.96°, d = 3.307 Å, I 10
- 38.21°, d = 2.356 Å, I 100
- 38.50°, d = 2.338 Å, I 50
- 54.69°, d = 1.678 Å, I 8
- 55.58°, d = 1.653 Å, I 17
- 68.86°, d = 1.363 Å, I 17
- 69.45°, d = 1.353 Å, I 34
- 81.77°, d = 1.178 Å, I 10
- 82.51°, d = 1.169 Å, I 6

Atomic structure:
```
Hf5Zn4Au
1.0
3.3069 0.0000 0.0000
0.0000 3.3069 0.0000
0.0000 0.0000 16.7828
Hf Zn Au
5 4 1
Direct
0.0000 0.0000 0.0000
0.0000 0.0000 0.1963
0.0000 0.0000 0.3934
0.0000 0.0000 0.6066
0.0000 0.0000 0.8037
0.5000 0.5000 0.0983
0.5000 0.5000 0.2943
0.5000 0.5000 0.7057
0.5000 0.5000 0.9017
0.5000 0.5000 0.5000
```